# Ba8TlPt4
Simulated PXRD pattern, Cu Kα, 1.54184 Å. Input: DFT lattice parameters and positions (PBE).

Principal peaks in the range 2θ from 15° to 90°, in order of rising 2θ:
d/Å	intensity
4.946	25
4.812	25
3.506	79
3.423	100
2.980	32
2.868	61
2.646	38
2.462	27
2.341	44
2.177	68
2.108	28
1.753	25

abc: 11.022 11.022 15.017
angles: 131.33 131.33 24.52
Sites, in units of the cell vectors:
Ba 0.000 0.000 0.000
Ba 0.008 0.008 0.725
Ba 0.046 0.046 0.463
Ba 0.311 0.311 0.667
Ba 0.406 0.406 0.143
Ba 0.670 0.670 0.346
Ba 0.709 0.709 0.084
Ba 0.717 0.717 0.809
Tl 0.358 0.358 0.403
Pt 0.035 0.035 0.240
Pt 0.208 0.208 0.939
Pt 0.509 0.509 0.870
Pt 0.682 0.682 0.569